Calculated powder X-ray diffraction pattern of Ba3MgIr2O9 for copper Kα, from the PBE geometry in Alexandria.

Atomic structure:
Unit cell a=5.8329 b=5.8329 c=14.3497 alpha=90.00 beta=90.00 gamma=120.00
Sites, in units of the cell vectors:
Ba (0.0000, 0.0000, 0.2500)
Ba (0.0000, 0.0000, 0.7500)
Ba (0.3333, 0.6667, 0.0852)
Ba (0.3333, 0.6667, 0.4148)
Ba (0.6667, 0.3333, 0.5852)
Ba (0.6667, 0.3333, 0.9148)
Mg (0.0000, 0.0000, 0.0000)
Mg (0.0000, 0.0000, 0.5000)
Ir (0.3333, 0.6667, 0.6594)
Ir (0.3333, 0.6667, 0.8406)
Ir (0.6667, 0.3333, 0.1594)
Ir (0.6667, 0.3333, 0.3406)
O (0.0212, 0.5106, 0.7500)
O (0.1722, 0.3444, 0.5828)
O (0.1722, 0.3444, 0.9172)
O (0.1722, 0.8278, 0.5828)
O (0.1722, 0.8278, 0.9172)
O (0.3444, 0.1722, 0.0828)
O (0.3444, 0.1722, 0.4172)
O (0.4894, 0.5106, 0.7500)
O (0.4894, 0.9788, 0.7500)
O (0.5106, 0.0212, 0.2500)
O (0.5106, 0.4894, 0.2500)
O (0.6556, 0.8278, 0.5828)
O (0.6556, 0.8278, 0.9172)
O (0.8278, 0.1722, 0.0828)
O (0.8278, 0.1722, 0.4172)
O (0.8278, 0.6556, 0.0828)
O (0.8278, 0.6556, 0.4172)
O (0.9788, 0.4894, 0.2500)

Top 10 peaks for 15 to 90 degrees two-theta, sorted by position:
two_theta	I/Imax
17.56	14
18.62	28
30.63	100
35.99	26
43.84	17
47.95	24
54.47	25
58.00	21
63.83	13
88.74	11

***

Calculated powder X-ray diffraction pattern of BaMo3Ir for copper Kα, from the PBE geometry in Alexandria.

Atomic structure:
Unit cell a=4.9393 b=4.9393 c=4.9393 alpha=90.00 beta=90.00 gamma=90.00
Sites, in units of the cell vectors:
Ba (0.0000, 0.0000, 0.0000)
Mo (0.0000, 0.5000, 0.5000)
Mo (0.5000, 0.0000, 0.5000)
Mo (0.5000, 0.5000, 0.0000)
Ir (0.5000, 0.5000, 0.5000)

Top 10 peaks for 15 to 90 degrees two-theta, sorted by position:
two_theta	I/Imax
17.96	37
25.50	65
31.37	30
36.38	100
40.85	19
44.95	29
52.39	69
65.46	23
71.46	15
88.53	33

***

Calculated powder X-ray diffraction pattern of Ba2Ir2N3 for copper Kα, from the PBE geometry in Alexandria.

Atomic structure:
Unit cell a=6.1768 b=6.1768 c=6.1768 alpha=60.09 beta=60.09 gamma=60.09
Sites, in units of the cell vectors:
Ba (0.0000, 0.0000, 0.0000)
Ba (0.5000, 0.5000, 0.5000)
Ir (0.2060, 0.2060, 0.2060)
Ir (0.7940, 0.7940, 0.7940)
N (0.0000, 0.0000, 0.5000)
N (0.0000, 0.5000, 0.0000)
N (0.5000, 0.0000, 0.0000)

Top 10 peaks for 15 to 90 degrees two-theta, sorted by position:
two_theta	I/Imax
17.59	29
28.88	100
34.03	33
41.31	15
45.24	13
51.17	27
54.55	18
59.81	10
62.89	9
82.53	11